No. 1
The following is a calculated powder X-ray diffraction pattern of CaPm5P6. It was derived from DFT lattice parameters and positions (PBE), using a wavelength of 1.5418 Å.

The 8 most intense peaks (10 to 80 degrees two-theta), by intensity:
2θ (°), intensity
30.57, 1000
43.78, 729
26.39, 715
72.24, 325
51.85, 265
54.34, 255
70.14, 144
63.64, 118

Structural model:
Cell lengths 7.161, 7.161, 7.168 Å; angles 99.59, 99.59, 120.02 degrees
Fractional coordinates of all 12 atoms:
Ca (0.000, 0.000, 0.000)
Pm (0.166, 0.834, 0.500)
Pm (0.333, 0.667, 0.000)
Pm (0.500, 0.500, 0.500)
Pm (0.667, 0.333, 0.000)
Pm (0.834, 0.166, 0.500)
P (0.084, 0.421, 0.251)
P (0.253, 0.253, 0.748)
P (0.421, 0.084, 0.251)
P (0.579, 0.916, 0.749)
P (0.747, 0.747, 0.252)
P (0.916, 0.579, 0.749)



No. 2
The following is a calculated powder X-ray diffraction pattern of CaPmP. It was derived from DFT lattice parameters and positions (PBE), using a wavelength of 1.5418 Å.

The 8 most intense peaks (10 to 80 degrees two-theta), by intensity:
2θ (°), intensity
37.11, 1000
14.13, 950
25.01, 576
32.32, 481
27.00, 470
33.65, 462
31.53, 430
28.48, 385

Structural model:
Cell lengths 7.992, 7.359, 8.804 Å; angles 58.45, 51.69, 69.85 degrees
Fractional coordinates of all 12 atoms:
Ca (0.258, 0.742, 0.460)
Ca (0.710, 0.790, 0.508)
Ca (0.742, 0.258, 0.540)
Ca (0.790, 0.710, 0.992)
Pm (0.252, 0.446, 0.982)
Pm (0.268, 0.930, 0.998)
Pm (0.446, 0.252, 0.320)
Pm (0.930, 0.268, 0.804)
P (0.083, 0.535, 0.353)
P (0.221, 0.897, 0.715)
P (0.535, 0.083, 0.029)
P (0.897, 0.221, 0.167)



No. 3
The following is a calculated powder X-ray diffraction pattern of CaPm2PuP4. It was derived from DFT lattice parameters and positions (PBE), using a wavelength of 1.5418 Å.

The 8 most intense peaks (10 to 80 degrees two-theta), by intensity:
2θ (°), intensity
26.70, 1000
30.86, 852
44.34, 772
31.06, 418
13.28, 243
73.12, 209
52.45, 167
52.33, 167

Structural model:
Cell lengths 7.063, 4.106, 7.063 Å; angles 90.00, 109.23, 90.00 degrees
Fractional coordinates of all 8 atoms:
Ca (0.000, 0.000, 0.000)
Pm (0.000, 0.500, 0.500)
Pm (0.500, 0.000, 0.500)
Pu (0.500, 0.500, 0.000)
P (0.260, 0.500, 0.245)
P (0.262, 0.000, 0.760)
P (0.738, 0.000, 0.240)
P (0.740, 0.500, 0.755)